Structure and computed powder XRD pattern of HoScRu2 (the PBE geometry in the Materials Project; Cu Kα (λ = 1.5418 Å)).
No peak broadening, texture or thermal motion is included.

The 7 most intense peaks (2θ = 10–80°), sorted by position:
2θ (°), I/Imax
23.34, 19.4
38.57, 100.0
45.57, 10.5
55.68, 16.9
61.19, 4.5
69.78, 33.7
74.70, 3.4

Structure:
Lattice parameters (Å, degrees): 4.669 4.669 4.669 60.00 60.00 60.00
Positions (direct):
1 Ho 0.000 0.000 0.000
2 Sc 0.500 0.500 0.500
3 Ru 0.250 0.250 0.250
4 Ru 0.750 0.750 0.750

Structure and computed powder XRD pattern of Mg6VCu (the PBE geometry in the Materials Project; Cu Kα (λ = 1.5418 Å)).
No peak broadening, texture or thermal motion is included.

The 10 most intense peaks (2θ = 10–80°), sorted by position:
2θ (°), I/Imax
16.85, 21.8
18.21, 14.0
33.94, 28.6
36.90, 37.9
38.78, 100.0
38.92, 49.6
51.00, 16.8
60.94, 15.8
67.77, 26.0
73.41, 17.4

Structure:
Lattice parameters (Å, degrees): 4.872 6.082 6.082 60.29 90.00 90.00
Positions (direct):
1 Mg 0.000 0.000 0.000
2 Mg 0.000 0.490 0.990
3 Mg 0.000 0.500 0.500
4 Mg 0.000 0.990 0.490
5 Mg 0.500 0.164 0.658
6 Mg 0.500 0.658 0.164
7 V 0.500 0.661 0.661
8 Cu 0.500 0.161 0.161

What did the first record say?
Structure and computed powder XRD pattern of HoScRu2 (the PBE geometry in the Materials Project; Cu Kα (λ = 1.5418 Å)).
No peak broadening, texture or thermal motion is included.

The 7 most intense peaks (2θ = 10–80°), sorted by position:
2θ (°), I/Imax
23.34, 19.4
38.57, 100.0
45.57, 10.5
55.68, 16.9
61.19, 4.5
69.78, 33.7
74.70, 3.4

Structure:
Lattice parameters (Å, degrees): 4.669 4.669 4.669 60.00 60.00 60.00
Positions (direct):
1 Ho 0.000 0.000 0.000
2 Sc 0.500 0.500 0.500
3 Ru 0.250 0.250 0.250
4 Ru 0.750 0.750 0.750